1.
This entry pairs a crystal structure of K2Tl4I3Cl2 with its calculated X-ray diffraction stick pattern. Radiation: λ = 1.5418 Å (Cu Kα). Structure: a crystal structure in Alexandria, relaxed with GGA-PBE.
Peak positions follow from Bragg's law for the DFT cell and can differ from measured ones.

Structure:
a = 6.142 Å, b = 6.142 Å, c = 25.907 Å
α = 90.00°, β = 90.00°, γ = 90.00°
Space group I4/mmm (No. 139)
Symmetry-distinct sites (fractional):
K1 0.000 0.000 0.195 (multiplicity 4)
Tl1 0.000 0.500 0.072 (multiplicity 8)
I1 0.000 0.000 0.327 (multiplicity 4)
I2 0.000 0.000 0.500 (multiplicity 2)
Cl1 0.000 0.000 0.080 (multiplicity 4)

Peak list (6 most intense, 2θ = 10–90°, sorted by position)
- 21.58°, intensity 29
- 29.13°, intensity 100
- 40.49°, intensity 18
- 41.59°, intensity 17
- 51.60°, intensity 23
- 68.32°, intensity 13


2.
This entry pairs a crystal structure of La3I3Cl with its calculated X-ray diffraction stick pattern. Radiation: λ = 1.5418 Å (Cu Kα). Structure: a crystal structure in Alexandria, relaxed with GGA-PBE.
Peak positions follow from Bragg's law for the DFT cell and can differ from measured ones.

Structure:
a = 12.383 Å, b = 12.383 Å, c = 12.383 Å
α = 90.00°, β = 90.00°, γ = 90.00°
Space group I4_132 (No. 214)
Symmetry-distinct sites (fractional):
La1 0.107 0.357 0.125 (multiplicity 24)
I1 0.114 0.136 0.625 (multiplicity 24)
Cl1 0.125 0.125 0.125 (multiplicity 8)

Peak list (6 most intense, 2θ = 10–90°, sorted by position)
- 26.94°, intensity 39
- 28.84°, intensity 100
- 33.96°, intensity 24
- 41.24°, intensity 68
- 51.11°, intensity 22
- 67.68°, intensity 23


3.
This entry pairs a crystal structure of Li8I6Cl with its calculated X-ray diffraction stick pattern. Radiation: λ = 1.5418 Å (Cu Kα). Structure: a crystal structure in Alexandria, relaxed with GGA-PBE.
Peak positions follow from Bragg's law for the DFT cell and can differ from measured ones.

Structure:
a = 12.6835 Å, b = 12.6835 Å, c = 11.0629 Å
α = 90.00°, β = 90.00°, γ = 120.00°
Space group R-3 (No. 148, hexagonal axes)
Symmetry-distinct sites (fractional):
Li1 0.0000 0.0000 0.1998 (multiplicity 6)
Li2 0.0320 0.2392 0.4128 (multiplicity 18)
I1 0.0300 0.2161 0.6659 (multiplicity 18)
Cl1 0.0000 0.0000 0.0000 (multiplicity 3)

Peak list (6 most intense, 2θ = 10–90°, sorted by position)
- 22.88°, intensity 100
- 24.13°, intensity 30
- 26.85°, intensity 61
- 37.52°, intensity 26
- 39.14°, intensity 26
- 45.11°, intensity 26


4.
This entry pairs a crystal structure of Li5ICl4 with its calculated X-ray diffraction stick pattern. Radiation: λ = 1.5418 Å (Cu Kα). Structure: a crystal structure in Alexandria, relaxed with GGA-PBE.
Peak positions follow from Bragg's law for the DFT cell and can differ from measured ones.

Structure:
a = 4.0834 Å, b = 4.0834 Å, c = 32.5111 Å
α = 90.00°, β = 90.00°, γ = 120.00°
Space group P3m1 (No. 156)
Symmetry-distinct sites (fractional):
Li1 0.0000 0.0000 0.0000 (multiplicity 1)
Li2 0.0000 0.0000 0.1872 (multiplicity 1)
Li3 0.0000 0.0000 0.3756 (multiplicity 1)
Li4 0.0000 0.0000 0.5634 (multiplicity 1)
Li5 0.0000 0.0000 0.7821 (multiplicity 1)
Li6 0.6667 0.3333 0.0934 (multiplicity 1)
Li7 0.6667 0.3333 0.2816 (multiplicity 1)
Li8 0.6667 0.3333 0.4693 (multiplicity 1)
Li9 0.6667 0.3333 0.6566 (multiplicity 1)
Li10 0.6667 0.3333 0.8747 (multiplicity 1)
I1 0.6667 0.3333 0.7439 (multiplicity 1)
I2 0.6667 0.3333 0.9619 (multiplicity 1)
Cl1 0.0000 0.0000 0.0731 (multiplicity 1)
Cl2 0.0000 0.0000 0.2612 (multiplicity 1)
Cl3 0.0000 0.0000 0.4493 (multiplicity 1)
Cl4 0.0000 0.0000 0.6370 (multiplicity 1)
Cl5 0.0000 0.0000 0.8550 (multiplicity 1)
Cl6 0.6667 0.3333 0.1671 (multiplicity 1)
Cl7 0.6667 0.3333 0.3554 (multiplicity 1)
Cl8 0.6667 0.3333 0.5431 (multiplicity 1)

Peak list (6 most intense, 2θ = 10–90°, sorted by position)
- 10.89°, intensity 19
- 25.18°, intensity 44
- 27.48°, intensity 47
- 28.74°, intensity 100
- 44.37°, intensity 38
- 52.97°, intensity 21


5.
This entry pairs a crystal structure of LiNpICl4 with its calculated X-ray diffraction stick pattern. Radiation: λ = 1.5418 Å (Cu Kα). Structure: a crystal structure in Alexandria, relaxed with GGA-PBE.
Peak positions follow from Bragg's law for the DFT cell and can differ from measured ones.

Structure:
a = 11.741 Å, b = 8.811 Å, c = 11.473 Å
α = 90.00°, β = 118.48°, γ = 90.00°
Space group C2/m (No. 12)
Symmetry-distinct sites (fractional):
Li1 0.193 0.000 0.331 (multiplicity 4)
Np1 0.048 0.500 0.220 (multiplicity 4)
I1 0.196 0.500 0.057 (multiplicity 4)
Cl1 0.049 0.207 0.211 (multiplicity 8)
Cl2 0.108 0.500 0.682 (multiplicity 4)
Cl3 0.238 0.000 0.559 (multiplicity 4)

Peak list (6 most intense, 2θ = 10–90°, sorted by position)
- 13.21°, intensity 100
- 13.41°, intensity 34
- 20.16°, intensity 38
- 28.71°, intensity 29
- 31.70°, intensity 27
- 40.99°, intensity 28


6.
This entry pairs a crystal structure of RbLiICl6 with its calculated X-ray diffraction stick pattern. Radiation: λ = 1.5418 Å (Cu Kα). Structure: a crystal structure in Alexandria, relaxed with GGA-PBE.
Peak positions follow from Bragg's law for the DFT cell and can differ from measured ones.

Structure:
a = 6.831 Å, b = 7.280 Å, c = 7.432 Å
α = 75.56°, β = 64.80°, γ = 74.28°
Space group P1 (No. 1)
Symmetry-distinct sites (fractional):
Rb1 0.000 0.000 0.000 (multiplicity 1)
Li1 0.722 0.720 0.765 (multiplicity 1)
I1 0.320 0.630 0.423 (multiplicity 1)
Cl1 0.199 0.504 0.220 (multiplicity 1)
Cl2 0.434 0.787 0.630 (multiplicity 1)
Cl3 0.534 0.903 0.028 (multiplicity 1)
Cl4 0.629 0.361 0.398 (multiplicity 1)
Cl5 0.983 0.911 0.481 (multiplicity 1)
Cl6 0.988 0.456 0.810 (multiplicity 1)

Peak list (6 most intense, 2θ = 10–90°, sorted by position)
- 12.78°, intensity 100
- 16.81°, intensity 61
- 17.01°, intensity 71
- 17.52°, intensity 94
- 19.89°, intensity 73
- 34.44°, intensity 89


7.
This entry pairs a crystal structure of Li2RhICl with its calculated X-ray diffraction stick pattern. Radiation: λ = 1.5418 Å (Cu Kα). Structure: a crystal structure in Alexandria, relaxed with GGA-PBE.
Peak positions follow from Bragg's law for the DFT cell and can differ from measured ones.

Structure:
a = 5.231 Å, b = 5.231 Å, c = 4.821 Å
α = 90.00°, β = 90.00°, γ = 90.00°
Space group P4/mmm (No. 123)
Symmetry-distinct sites (fractional):
Li1 0.000 0.500 0.000 (multiplicity 2)
Rh1 0.000 0.000 0.000 (multiplicity 1)
I1 0.000 0.000 0.500 (multiplicity 1)
Cl1 0.500 0.500 0.500 (multiplicity 1)

Peak list (6 most intense, 2θ = 10–90°, sorted by position)
- 16.95°, intensity 100
- 24.06°, intensity 78
- 34.28°, intensity 36
- 38.48°, intensity 26
- 44.88°, intensity 28
- 51.56°, intensity 21


8.
This entry pairs a crystal structure of Li2TlICl2 with its calculated X-ray diffraction stick pattern. Radiation: λ = 1.5418 Å (Cu Kα). Structure: a crystal structure in Alexandria, relaxed with GGA-PBE.
Peak positions follow from Bragg's law for the DFT cell and can differ from measured ones.

Structure:
a = 7.319 Å, b = 6.173 Å, c = 8.316 Å
α = 90.00°, β = 105.02°, γ = 90.00°
Space group P2_1/m (No. 11)
Symmetry-distinct sites (fractional):
Li1 0.129 0.002 0.209 (multiplicity 4)
Tl1 0.344 0.250 0.671 (multiplicity 2)
I1 0.196 0.750 0.943 (multiplicity 2)
Cl1 0.085 0.750 0.398 (multiplicity 2)
Cl2 0.369 0.250 0.310 (multiplicity 2)

Peak list (6 most intense, 2θ = 10–90°, sorted by position)
- 18.75°, intensity 45
- 20.37°, intensity 100
- 26.48°, intensity 56
- 26.75°, intensity 29
- 28.95°, intensity 68
- 29.11°, intensity 72


9.
This entry pairs a crystal structure of RbMgICl2 with its calculated X-ray diffraction stick pattern. Radiation: λ = 1.5418 Å (Cu Kα). Structure: a crystal structure in Alexandria, relaxed with GGA-PBE.
Peak positions follow from Bragg's law for the DFT cell and can differ from measured ones.

Structure:
a = 4.550 Å, b = 16.353 Å, c = 8.952 Å
α = 90.00°, β = 90.00°, γ = 90.00°
Space group Cmcm (No. 63)
Symmetry-distinct sites (fractional):
Rb1 0.000 0.220 0.250 (multiplicity 4)
Mg1 0.000 0.500 0.000 (multiplicity 4)
I1 0.000 0.016 0.750 (multiplicity 4)
Cl1 0.000 0.358 0.522 (multiplicity 8)

Peak list (6 most intense, 2θ = 10–90°, sorted by position)
- 23.93°, intensity 23
- 27.41°, intensity 34
- 28.50°, intensity 100
- 29.59°, intensity 48
- 39.45°, intensity 33
- 39.62°, intensity 22